# CeHo4In4
Theoretical XRD peak list, a wavelength of 1.5418 Å. Input: a structure optimized by DFT (PBE).

```
CeHo4In4
1.0
7.2999 0.0000 0.0000
0.0000 7.2999 0.0000
0.0000 0.0000 10.5067
Ce Ho In
2 8 8
direct
0.2500 0.7500 0.2500 Ce
0.7500 0.2500 0.7500 Ce
0.0151 0.2500 0.1574 Ho
0.2500 0.0151 0.6574 Ho
0.2500 0.4849 0.6574 Ho
0.4849 0.2500 0.1574 Ho
0.5151 0.7500 0.8426 Ho
0.7500 0.5151 0.3426 Ho
0.7500 0.9849 0.3426 Ho
0.9849 0.7500 0.8426 Ho
0.0415 0.2500 0.4550 In
0.2500 0.0415 0.9550 In
0.2500 0.4585 0.9550 In
0.4585 0.2500 0.4550 In
0.5415 0.7500 0.5450 In
0.7500 0.5415 0.0450 In
0.7500 0.9585 0.0450 In
0.9585 0.7500 0.5450 In
```

Top 10 peaks for 2θ = 5–70°, in order of rising 2θ:
(1 0 1), 14.8°, d 5.995, I 22.3; (1 0 3), 28.3°, d 3.158, I 20.9; (2 1 1), 28.6°, d 3.118, I 100.0; (2 2 0), 34.8°, d 2.581, I 48.2; (2 0 3), 35.5°, d 2.527, I 94.6; (1 0 4), 36.3°, d 2.472, I 28.8; (3 0 3), 45.4°, d 1.998, I 14.4; (4 0 0), 50.0°, d 1.825, I 26.2; (3 2 4), 57.5°, d 1.604, I 21.7; (4 2 3), 62.8°, d 1.479, I 28.6